CeSn2Rh: simulated powder X-ray diffraction pattern (Cu Kα, 1.54184 Å), based on a cell relaxed with GGA-PBE.
Kinematic intensities with the Lorentz-polarization factor, no thermal factor.

Most intense lines, 5 to 70 degrees two-theta, low angle first:
2θ/deg, d_spacing, I/Imax, hkl
27.3, 3.272, 258, 1 1 2
31.0, 2.882, 524, 1 3 2
32.4, 2.759, 1000, 1 5 0
34.4, 2.607, 472, 1 1 3
36.4, 2.468, 383, 0 6 2
39.1, 2.304, 515, 2 0 0

Crystal structure
```
data_CeSn2Rh
_chemical_formula_sum 'Ce8 Sn16 Rh8'
_cell_length_a 4.6074
_cell_length_b 17.2300
_cell_length_c 9.6516
_cell_angle_alpha 90.00
_cell_angle_beta 90.00
_cell_angle_gamma 90.00
_space_group_name_H-M_alt 'C m c m'
_space_group_IT_number 63
_space_group_name_Hall '-C 2c 2'
loop_
_atom_site_label
_atom_site_type_symbol
_atom_site_fract_x
_atom_site_fract_y
_atom_site_fract_z
_atom_site_occupancy
Ce1 Ce 0.0000 0.0000 0.0000 1
Ce2 Ce 0.0000 0.2044 0.2500 1
Sn1 Sn 0.0000 0.1985 0.5897 1
Sn2 Sn 0.0000 0.4098 0.2500 1
Sn3 Sn 0.0000 0.4261 0.7500 1
Rh1 Rh 0.0000 0.3537 0.5061 1
```



PdF4: simulated powder X-ray diffraction pattern (Cu Kα, 1.54184 Å), based on a cell relaxed with GGA-PBE.
Kinematic intensities with the Lorentz-polarization factor, no thermal factor.

Most intense lines, 5 to 70 degrees two-theta, low angle first:
2θ/deg, d_spacing, I/Imax, hkl
19.8, 4.487, 1000, 1 1 1
26.6, 3.345, 483, 2 2 0
33.2, 2.697, 235, 1 3 1
33.6, 2.668, 220, 3 1 1
35.3, 2.542, 154, 2 0 2
53.0, 1.728, 185, 4 2 2

Crystal structure
```
data_PdF4
_chemical_formula_sum 'Pd8 F32'
_cell_length_a 9.3828
_cell_length_b 9.5427
_cell_length_c 6.0499
_cell_angle_alpha 90.00
_cell_angle_beta 90.00
_cell_angle_gamma 90.00
_space_group_name_H-M_alt 'F d d 2'
_space_group_IT_number 43
_space_group_name_Hall 'F 2 -2d'
loop_
_atom_site_label
_atom_site_type_symbol
_atom_site_fract_x
_atom_site_fract_y
_atom_site_fract_z
_atom_site_occupancy
Pd1 Pd 0.0000 0.0000 0.0000 1
F1 F 0.1094 0.0942 0.2561 1
F2 F 0.1098 0.0944 0.7869 1
```



CaSi3: simulated powder X-ray diffraction pattern (Cu Kα, 1.54184 Å), based on a cell relaxed with GGA-PBE.
Kinematic intensities with the Lorentz-polarization factor, no thermal factor.

Most intense lines, 5 to 70 degrees two-theta, low angle first:
2θ/deg, d_spacing, I/Imax, hkl
29.2, 3.057, 414, 2 0 2
35.0, 2.567, 304, 2 2 0
36.2, 2.482, 460, 1 1 4
36.5, 2.463, 585, 2 1 3
38.0, 2.367, 1000, 3 0 1
40.4, 2.235, 392, 2 0 4

Crystal structure
```
data_CaSi3
_chemical_formula_sum 'Ca8 Si24'
_cell_length_a 7.2598
_cell_length_b 7.2598
_cell_length_c 11.3419
_cell_angle_alpha 90.00
_cell_angle_beta 90.00
_cell_angle_gamma 90.00
_space_group_name_H-M_alt 'I 4/m m m'
_space_group_IT_number 139
_space_group_name_Hall '-I 4 2'
loop_
_atom_site_label
_atom_site_type_symbol
_atom_site_fract_x
_atom_site_fract_y
_atom_site_fract_z
_atom_site_occupancy
Ca1 Ca 0.0000 0.0000 0.1731 1
Ca2 Ca 0.0000 0.5000 0.2500 1
Si1 Si 0.0000 0.3355 0.0000 1
Si2 Si 0.1854 0.1854 0.3954 1
```



Ho2ReC2: simulated powder X-ray diffraction pattern (Cu Kα, 1.54184 Å), based on a cell relaxed with GGA-PBE.
Kinematic intensities with the Lorentz-polarization factor, no thermal factor.

Most intense lines, 5 to 70 degrees two-theta, low angle first:
2θ/deg, d_spacing, I/Imax, hkl
32.5, 2.755, 1000, 0 1 3
32.8, 2.727, 227, 2 0 2
33.8, 2.656, 835, 2 1 1
35.2, 2.550, 595, 0 2 0
35.3, 2.539, 444, 1 1 3
59.4, 1.556, 278, 3 1 4

Crystal structure
```
data_Ho2ReC2
_chemical_formula_sum 'Ho8 Re4 C8'
_cell_length_a 6.5596
_cell_length_b 5.0991
_cell_length_c 9.8168
_cell_angle_alpha 90.00
_cell_angle_beta 90.00
_cell_angle_gamma 90.00
_space_group_name_H-M_alt 'P n m a'
_space_group_IT_number 62
loop_
_space_group_symop_operation_xyz
'x,y,z'
'-x,-y,-z'
'-x+1/2,-y,z+1/2'
'x+1/2,y,-z+1/2'
'x+1/2,-y+1/2,-z+1/2'
'-x+1/2,y+1/2,z+1/2'
'-x,y+1/2,-z'
'x,-y+1/2,z'
loop_
_atom_site_label
_atom_site_type_symbol
_atom_site_fract_x
_atom_site_fract_y
_atom_site_fract_z
_atom_site_occupancy
Ho1 Ho 0.0327 0.2500 0.2164 1
Ho2 Ho 0.1792 0.2500 0.5564 1
Re1 Re 0.2199 0.2500 0.8671 1
C1 C 0.0470 0.7500 0.2409 1
C2 C 0.1757 0.7500 0.5515 1
```



Nd2Si3Ag: simulated powder X-ray diffraction pattern (Cu Kα, 1.54184 Å), based on a cell relaxed with GGA-PBE.
Kinematic intensities with the Lorentz-polarization factor, no thermal factor.

Most intense lines, 5 to 70 degrees two-theta, low angle first:
2θ/deg, d_spacing, I/Imax, hkl
21.4, 4.153, 191, 0 1 1
28.6, 3.126, 403, 1 0 3
32.5, 2.755, 1000, 1 1 2
37.3, 2.411, 347, 0 1 5
41.7, 2.167, 193, 0 2 0
51.3, 1.782, 192, 1 2 3

Crystal structure
```
data_Nd2Si3Ag
_chemical_formula_sum 'Nd4 Si6 Ag2'
_cell_length_a 4.0985
_cell_length_b 4.3347
_cell_length_c 14.5033
_cell_angle_alpha 90.00
_cell_angle_beta 90.00
_cell_angle_gamma 90.00
_space_group_name_H-M_alt 'I m m 2'
_space_group_IT_number 44
loop_
_space_group_symop_operation_xyz
'x,y,z'
'-x,-y,z'
'-x,y,z'
'x,-y,z'
'x+1/2,y+1/2,z+1/2'
'-x+1/2,-y+1/2,z+1/2'
'-x+1/2,y+1/2,z+1/2'
'x+1/2,-y+1/2,z+1/2'
loop_
_atom_site_label
_atom_site_type_symbol
_atom_site_fract_x
_atom_site_fract_y
_atom_site_fract_z
_atom_site_occupancy
Nd1 Nd 0.0000 0.0000 0.0000 1
Nd2 Nd 0.0000 0.5000 0.2652 1
Si1 Si 0.0000 0.0000 0.4238 1
Si2 Si 0.0000 0.5000 0.6760 1
Si3 Si 0.0000 0.5000 0.8378 1
Ag1 Ag 0.0000 0.0000 0.5935 1
```



Ca3Mn2N4: simulated powder X-ray diffraction pattern (Cu Kα, 1.54184 Å), based on a cell relaxed with GGA-PBE.
Kinematic intensities with the Lorentz-polarization factor, no thermal factor.

Most intense lines, 5 to 70 degrees two-theta, low angle first:
2θ/deg, d_spacing, I/Imax, hkl
31.6, 2.834, 619, 3 1 -1
32.6, 2.747, 1000, 2 2 1
36.1, 2.489, 346, 1 1 -2
43.8, 2.067, 316, 0 4 0
44.0, 2.060, 362, 5 1 0
44.5, 2.034, 392, 3 3 -1

Crystal structure
```
data_Ca3Mn2N4
_chemical_formula_sum 'Ca12 Mn8 N16'
_cell_length_a 10.6467
_cell_length_b 8.2666
_cell_length_c 5.3276
_cell_angle_alpha 90.00
_cell_angle_beta 92.70
_cell_angle_gamma 90.00
_space_group_name_H-M_alt 'C 1 2/c 1'
_space_group_IT_number 15
loop_
_space_group_symop_operation_xyz
'x,y,z'
'-x,-y,-z'
'-x,y,-z+1/2'
'x,-y,z+1/2'
'x+1/2,y+1/2,z'
'-x+1/2,-y+1/2,-z'
'-x+1/2,y+1/2,-z+1/2'
'x+1/2,-y+1/2,z+1/2'
loop_
_atom_site_label
_atom_site_type_symbol
_atom_site_fract_x
_atom_site_fract_y
_atom_site_fract_z
_atom_site_occupancy
Ca1 Ca 0.0000 0.0980 0.2500 1
Ca2 Ca 0.1198 0.3655 0.5433 1
Mn1 Mn 0.2062 0.1257 0.9181 1
N1 N 0.1212 0.3208 0.0239 1
N2 N 0.1676 0.0650 0.5891 1
```



CaO2: simulated powder X-ray diffraction pattern (Cu Kα, 1.54184 Å), based on a cell relaxed with GGA-PBE.
Kinematic intensities with the Lorentz-polarization factor, no thermal factor.

Most intense lines, 5 to 70 degrees two-theta, low angle first:
2θ/deg, d_spacing, I/Imax, hkl
27.1, 3.295, 366, 2 0 0
28.2, 3.165, 1000, 0 2 1
29.0, 3.077, 687, 2 0 -2
44.0, 2.058, 803, 2 2 1
46.6, 1.949, 661, 2 2 -3
49.7, 1.834, 263, 0 4 0

Crystal structure
```
data_CaO2
_chemical_formula_sum 'Ca8 O16'
_cell_length_a 7.4060
_cell_length_b 7.3356
_cell_length_c 7.0400
_cell_angle_alpha 90.00
_cell_angle_beta 117.15
_cell_angle_gamma 90.00
_space_group_name_H-M_alt 'C 1 2/c 1'
_space_group_IT_number 15
loop_
_space_group_symop_operation_xyz
'x,y,z'
'-x,-y,-z'
'-x,y,-z+1/2'
'x,-y,z+1/2'
'x+1/2,y+1/2,z'
'-x+1/2,-y+1/2,-z'
'-x+1/2,y+1/2,-z+1/2'
'x+1/2,-y+1/2,z+1/2'
loop_
_atom_site_label
_atom_site_type_symbol
_atom_site_fract_x
_atom_site_fract_y
_atom_site_fract_z
_atom_site_occupancy
Ca1 Ca 0.2442 0.1190 0.2420 1
O1 O 0.0981 0.3733 0.9998 1
O2 O 0.1133 0.1409 0.5026 1
```



TbB4Rh4: simulated powder X-ray diffraction pattern (Cu Kα, 1.54184 Å), based on a cell relaxed with GGA-PBE.
Kinematic intensities with the Lorentz-polarization factor, no thermal factor.

Most intense lines, 5 to 70 degrees two-theta, low angle first:
2θ/deg, d_spacing, I/Imax, hkl
29.1, 3.064, 423, 1 0 2
33.7, 2.658, 232, 1 1 2
35.7, 2.518, 747, 2 0 1
39.6, 2.278, 1000, 2 1 1
39.9, 2.259, 718, 1 0 3
45.0, 2.015, 333, 2 1 2

Crystal structure
```
data_TbB4Rh4
_chemical_formula_sum 'Tb2 B8 Rh8'
_cell_length_a 5.3476
_cell_length_b 5.3476
_cell_length_c 7.4764
_cell_angle_alpha 90.00
_cell_angle_beta 90.00
_cell_angle_gamma 90.00
_space_group_name_H-M_alt 'P 42/n m c'
_space_group_IT_number 137
loop_
_space_group_symop_operation_xyz
'x,y,z'
'-x,-y,-z'
'-y+1/2,x,z+1/2'
'y+1/2,-x,-z+1/2'
'-x+1/2,-y+1/2,z'
'x+1/2,y+1/2,-z'
'y,-x+1/2,z+1/2'
'-y,x+1/2,-z+1/2'
'x+1/2,-y,-z'
'-x+1/2,y,z'
'-y,-x,-z+1/2'
'y,x,z+1/2'
'-x,y+1/2,-z'
'x,-y+1/2,z'
'y+1/2,x+1/2,-z+1/2'
'-y+1/2,-x+1/2,z+1/2'
loop_
_atom_site_label
_atom_site_type_symbol
_atom_site_fract_x
_atom_site_fract_y
_atom_site_fract_z
_atom_site_occupancy
Tb1 Tb 0.2500 0.7500 0.2500 1
B1 B 0.0812 0.2500 0.0986 1
Rh1 Rh 0.0010 0.7500 0.6057 1
```



Sm3SbO7: simulated powder X-ray diffraction pattern (Cu Kα, 1.54184 Å), based on a cell relaxed with GGA-PBE.
Kinematic intensities with the Lorentz-polarization factor, no thermal factor.

Most intense lines, 5 to 70 degrees two-theta, low angle first:
2θ/deg, d_spacing, I/Imax, hkl
28.5, 3.133, 981, 0 2 2
28.6, 3.118, 1000, 2 2 0
33.1, 2.707, 671, 2 0 2
47.5, 1.914, 582, 2 4 2
56.2, 1.636, 299, 2 2 4
56.5, 1.629, 264, 4 2 2

Crystal structure
```
data_Sm3SbO7
_chemical_formula_sum 'Sm12 Sb4 O28'
_cell_length_a 7.6295
_cell_length_b 10.8187
_cell_length_c 7.6878
_cell_angle_alpha 90.00
_cell_angle_beta 90.00
_cell_angle_gamma 90.00
_space_group_name_H-M_alt 'C m c m'
_space_group_IT_number 63
_space_group_name_Hall '-C 2c 2'
loop_
_atom_site_label
_atom_site_type_symbol
_atom_site_fract_x
_atom_site_fract_y
_atom_site_fract_z
_atom_site_occupancy
Sm1 Sm 0.0000 0.0000 0.0000 1
Sm2 Sm 0.2340 0.2663 0.2500 1
Sb1 Sb 0.0000 0.5000 0.0000 1
O1 O 0.0000 0.1298 0.7500 1
O2 O 0.0000 0.1358 0.2500 1
O3 O 0.0000 0.4351 0.2500 1
O4 O 0.1937 0.3764 0.5281 1
```



YRhW2: simulated powder X-ray diffraction pattern (Cu Kα, 1.54184 Å), based on a cell relaxed with GGA-PBE.
Kinematic intensities with the Lorentz-polarization factor, no thermal factor.

Most intense lines, 5 to 70 degrees two-theta, low angle first:
2θ/deg, d_spacing, I/Imax, hkl
27.3, 3.268, 109, 2 0 0
39.0, 2.311, 1000, 2 2 0
48.2, 1.887, 34, 2 2 2
56.3, 1.634, 171, 4 0 0
63.7, 1.462, 46, 4 2 0

Crystal structure
```
data_YRhW2
_chemical_formula_sum 'Y4 Rh4 W8'
_cell_length_a 6.5370
_cell_length_b 6.5370
_cell_length_c 6.5370
_cell_angle_alpha 90.00
_cell_angle_beta 90.00
_cell_angle_gamma 90.00
_space_group_name_H-M_alt 'F m -3 m'
_space_group_IT_number 225
_space_group_name_Hall '-F 4 2 3'
loop_
_atom_site_label
_atom_site_type_symbol
_atom_site_fract_x
_atom_site_fract_y
_atom_site_fract_z
_atom_site_occupancy
Y1 Y 0.0000 0.0000 0.0000 1
Rh1 Rh 0.0000 0.0000 0.5000 1
W1 W 0.2500 0.2500 0.2500 1
```



Ti3Al5: simulated powder X-ray diffraction pattern (Cu Kα, 1.54184 Å), based on a cell relaxed with GGA-PBE.
Kinematic intensities with the Lorentz-polarization factor, no thermal factor.

Most intense lines, 5 to 70 degrees two-theta, low angle first:
2θ/deg, d_spacing, I/Imax, hkl
21.2, 4.184, 63, 0 0 2
39.0, 2.311, 1000, 1 1 2
43.3, 2.092, 182, 0 0 4
46.3, 1.960, 296, 2 0 0
65.2, 1.430, 200, 2 0 4
67.6, 1.386, 90, 2 2 0

Crystal structure
```
data_Ti3Al5
_chemical_formula_sum 'Ti3 Al5'
_cell_length_a 3.9208
_cell_length_b 3.9208
_cell_length_c 8.3673
_cell_angle_alpha 90.00
_cell_angle_beta 90.00
_cell_angle_gamma 90.00
_space_group_name_H-M_alt 'P 4/m m m'
_space_group_IT_number 123
_space_group_name_Hall '-P 4 2'
loop_
_atom_site_label
_atom_site_type_symbol
_atom_site_fract_x
_atom_site_fract_y
_atom_site_fract_z
_atom_site_occupancy
Ti1 Ti 0.0000 0.0000 0.0000 1
Ti2 Ti 0.0000 0.0000 0.5000 1
Ti3 Ti 0.5000 0.5000 0.0000 1
Al1 Al 0.0000 0.5000 0.2480 1
Al2 Al 0.5000 0.5000 0.5000 1
```



FePb2C6N6: simulated powder X-ray diffraction pattern (Cu Kα, 1.54184 Å), based on a cell relaxed with GGA-PBE.
Kinematic intensities with the Lorentz-polarization factor, no thermal factor.

Most intense lines, 5 to 70 degrees two-theta, low angle first:
2θ/deg, d_spacing, I/Imax, hkl
15.2, 5.811, 397, 0 0 1
21.0, 4.236, 1000, 1 0 1
24.9, 3.573, 712, 1 1 0
29.3, 3.043, 555, 1 1 1
32.8, 2.731, 382, 0 2 1
40.0, 2.254, 336, 1 1 2

Crystal structure
```
data_FePb2C6N6
_chemical_formula_sum 'Fe1 Pb2 C6 N6'
_cell_length_a 7.1453
_cell_length_b 7.1453
_cell_length_c 5.8110
_cell_angle_alpha 90.00
_cell_angle_beta 90.00
_cell_angle_gamma 120.00
_space_group_name_H-M_alt 'P -3'
_space_group_IT_number 147
loop_
_space_group_symop_operation_xyz
'x,y,z'
'-x,-y,-z'
'-y,x-y,z'
'y,-x+y,-z'
'-x+y,-x,z'
'x-y,x,-z'
loop_
_atom_site_label
_atom_site_type_symbol
_atom_site_fract_x
_atom_site_fract_y
_atom_site_fract_z
_atom_site_occupancy
Fe1 Fe 0.0000 0.0000 0.0000 1
Pb1 Pb 0.3333 0.6667 0.5634 1
C1 C 0.0509 0.2361 0.1848 1
N1 N 0.0766 0.3845 0.2989 1
```



LiCu3: simulated powder X-ray diffraction pattern (Cu Kα, 1.54184 Å), based on a cell relaxed with GGA-PBE.
Kinematic intensities with the Lorentz-polarization factor, no thermal factor.

Most intense lines, 5 to 70 degrees two-theta, low angle first:
2θ/deg, d_spacing, I/Imax, hkl
20.0, 4.438, 141, 1 0 0
29.3, 3.050, 332, 1 0 1
40.7, 2.219, 246, 2 0 0
43.1, 2.099, 276, 0 0 2
46.3, 1.962, 1000, 2 0 1
60.7, 1.525, 139, 2 0 2

Crystal structure
```
data_LiCu3
_chemical_formula_sum 'Li2 Cu6'
_cell_length_a 5.1241
_cell_length_b 5.1241
_cell_length_c 4.1987
_cell_angle_alpha 90.00
_cell_angle_beta 90.00
_cell_angle_gamma 120.00
_space_group_name_H-M_alt 'P 63/m m c'
_space_group_IT_number 194
_space_group_name_Hall '-P 6c 2c'
loop_
_atom_site_label
_atom_site_type_symbol
_atom_site_fract_x
_atom_site_fract_y
_atom_site_fract_z
_atom_site_occupancy
Li1 Li 0.3333 0.6667 0.2500 1
Cu1 Cu 0.1666 0.3332 0.7500 1
```